# 1
The following is a theoretical powder XRD pattern of DyNiAg. It was derived from a crystal structure in Alexandria, relaxed with GGA-PBE, using λ = 1.5418 Å (Cu Kα).
Peak positions follow from Bragg's law for the DFT cell and can differ from measured ones.

Top 10 peaks for 2θ = 10–80°, sorted by position:
d/Å, two_theta, I_rel
2.808, 31.86, 22.4
2.614, 34.31, 100.0
2.457, 36.57, 71.0
2.387, 37.69, 22.4
2.237, 40.31, 49.6
1.912, 47.55, 23.1
1.834, 49.72, 20.2
1.509, 61.43, 36.2
1.418, 65.86, 22.1
1.324, 71.25, 13.3

abc: 8.4756 8.4756 3.8244
angles: 90.00 90.00 155.01
Fractional positions:
Dy  0.1006  0.8994  0.7500
Dy  0.8994  0.1006  0.2500
Ni  0.4585  0.5415  0.7500
Ni  0.5415  0.4585  0.2500
Ag  0.2920  0.7080  0.7500
Ag  0.7080  0.2920  0.2500

***

# 2
The following is a theoretical powder XRD pattern of Dy4Ni2Ag5. It was derived from a crystal structure in Alexandria, relaxed with GGA-PBE, using λ = 1.5418 Å (Cu Kα).
Peak positions follow from Bragg's law for the DFT cell and can differ from measured ones.

Top 10 peaks for 2θ = 10–80°, sorted by position:
d/Å, two_theta, I_rel
2.690, 33.31, 52.5
2.649, 33.84, 21.5
2.570, 34.91, 100.0
2.422, 37.13, 40.6
2.412, 37.28, 24.0
2.301, 39.15, 44.1
2.223, 40.58, 17.5
2.193, 41.16, 10.5
2.184, 41.34, 12.7
1.824, 50.02, 23.2

abc: 7.2770 3.6472 8.9518
angles: 90.00 96.06 90.00
Fractional positions:
Dy  0.1878  0.0000  0.3513
Dy  0.2260  0.0000  0.9341
Dy  0.7740  0.0000  0.0659
Dy  0.8122  0.0000  0.6487
Ni  0.0686  0.5000  0.1335
Ni  0.9314  0.5000  0.8665
Ag  0.1629  0.5000  0.6414
Ag  0.4543  0.5000  0.1750
Ag  0.5000  0.5000  0.5000
Ag  0.5457  0.5000  0.8250
Ag  0.8371  0.5000  0.3586

***

# 3
The following is a theoretical powder XRD pattern of Dy12NiAg6. It was derived from a crystal structure in Alexandria, relaxed with GGA-PBE, using λ = 1.5418 Å (Cu Kα).
Peak positions follow from Bragg's law for the DFT cell and can differ from measured ones.

Top 10 peaks for 2θ = 10–80°, sorted by position:
d/Å, two_theta, I_rel
3.689, 24.13, 17.0
3.117, 28.64, 57.7
2.936, 30.45, 23.6
2.757, 32.47, 100.0
2.591, 34.62, 34.3
2.493, 36.03, 29.7
2.436, 36.89, 88.4
2.165, 41.72, 20.5
1.809, 50.44, 14.3
1.418, 65.84, 13.4

abc: 8.0648 8.0648 8.0648
angles: 93.45 93.45 93.45
Fractional positions:
Dy  0.0432  0.6987  0.9288
Dy  0.0712  0.9568  0.3013
Dy  0.1871  0.5359  0.4043
Dy  0.3013  0.0712  0.9568
Dy  0.4043  0.1871  0.5359
Dy  0.4641  0.5957  0.8129
Dy  0.5359  0.4043  0.1871
Dy  0.5957  0.8129  0.4641
Dy  0.6987  0.9288  0.0432
Dy  0.8129  0.4641  0.5957
Dy  0.9288  0.0432  0.6987
Dy  0.9568  0.3013  0.0712
Ni  0.5000  0.5000  0.5000
Ag  0.1511  0.3637  0.7599
Ag  0.2401  0.8489  0.6363
Ag  0.3637  0.7599  0.1511
Ag  0.6363  0.2401  0.8489
Ag  0.7599  0.1511  0.3637
Ag  0.8489  0.6363  0.2401

***

# 4
The following is a theoretical powder XRD pattern of Dy4Ni2Ag. It was derived from a crystal structure in Alexandria, relaxed with GGA-PBE, using λ = 1.5418 Å (Cu Kα).
Peak positions follow from Bragg's law for the DFT cell and can differ from measured ones.

Top 10 peaks for 2θ = 10–80°, sorted by position:
d/Å, two_theta, I_rel
3.256, 27.39, 37.7
3.006, 29.72, 47.3
2.990, 29.88, 100.0
2.734, 32.76, 98.8
2.726, 32.85, 45.4
2.636, 34.01, 96.5
2.626, 34.15, 72.2
2.619, 34.24, 39.9
2.553, 35.15, 40.7
2.429, 37.01, 88.6

abc: 6.8405 6.8824 8.2528
angles: 107.77 107.48 105.64
Fractional positions:
Dy  0.0000  0.0000  0.0000
Dy  0.0239  0.2090  0.5346
Dy  0.0503  0.7378  0.5927
Dy  0.1708  0.5234  0.0069
Dy  0.4579  0.4725  0.4219
Dy  0.5650  0.0656  0.1304
Dy  0.6010  0.1126  0.7060
Dy  0.7266  0.5797  0.1191
Ni  0.3026  0.1927  0.8745
Ni  0.6305  0.8479  0.3780
Ni  0.8145  0.5335  0.7502
Ni  0.9922  0.3837  0.2534
Ag  0.2448  0.9208  0.3305
Ag  0.4784  0.6582  0.7977

***

# 5
The following is a theoretical powder XRD pattern of Dy12Ni6Ag. It was derived from a crystal structure in Alexandria, relaxed with GGA-PBE, using λ = 1.5418 Å (Cu Kα).
Peak positions follow from Bragg's law for the DFT cell and can differ from measured ones.

Top 10 peaks for 2θ = 10–80°, sorted by position:
d/Å, two_theta, I_rel
3.055, 29.23, 42.5
2.789, 32.09, 38.5
2.582, 34.74, 100.0
2.415, 37.23, 14.7
2.277, 39.57, 10.5
1.895, 48.02, 18.7
1.657, 55.46, 34.6
1.610, 57.21, 13.3
1.567, 58.93, 34.5
1.366, 68.70, 17.0

abc: 8.3671 8.3671 8.3671
angles: 109.47 109.47 109.47
Fractional positions:
Dy  0.1166  0.3029  0.8136
Dy  0.1864  0.4893  0.3029
Dy  0.1864  0.8834  0.6971
Dy  0.3029  0.1864  0.4893
Dy  0.3029  0.8136  0.1166
Dy  0.4893  0.3029  0.1864
Dy  0.5107  0.6971  0.8136
Dy  0.6971  0.1864  0.8834
Dy  0.6971  0.8136  0.5107
Dy  0.8136  0.1166  0.3029
Dy  0.8136  0.5107  0.6971
Dy  0.8834  0.6971  0.1864
Ni  0.1245  0.5000  0.6245
Ni  0.3755  0.8755  0.5000
Ni  0.5000  0.3755  0.8755
Ni  0.5000  0.6245  0.1245
Ni  0.6245  0.1245  0.5000
Ni  0.8755  0.5000  0.3755
Ag  0.0000  0.0000  0.0000

***

# 6
The following is a theoretical powder XRD pattern of DyAg2SO6. It was derived from a crystal structure in Alexandria, relaxed with GGA-PBE, using λ = 1.5418 Å (Cu Kα).
Peak positions follow from Bragg's law for the DFT cell and can differ from measured ones.

Top 10 peaks for 2θ = 10–80°, sorted by position:
d/Å, two_theta, I_rel
5.656, 15.67, 21.1
5.038, 17.60, 33.9
3.762, 23.65, 100.0
2.909, 30.74, 85.1
2.828, 31.64, 20.5
2.301, 39.14, 41.2
2.028, 44.69, 68.7
1.805, 50.57, 33.3
1.766, 51.77, 18.9
1.444, 64.53, 23.2

abc: 5.8179 5.8179 5.6563
angles: 90.00 90.00 120.00
Fractional positions:
Dy  0.0000  0.0000  0.0000
Ag  0.3333  0.6667  0.4826
Ag  0.6667  0.3333  0.5174
S  0.0000  0.0000  0.5000
O  0.1356  0.2712  0.6785
O  0.1356  0.8644  0.6785
O  0.2712  0.1356  0.3215
O  0.7288  0.8644  0.6785
O  0.8644  0.1356  0.3215
O  0.8644  0.7288  0.3215

***

# 7
The following is a theoretical powder XRD pattern of DyTa5Ag2O15. It was derived from a crystal structure in Alexandria, relaxed with GGA-PBE, using λ = 1.5418 Å (Cu Kα).
Peak positions follow from Bragg's law for the DFT cell and can differ from measured ones.

Top 10 peaks for 2θ = 10–80°, sorted by position:
d/Å, two_theta, I_rel
3.922, 22.68, 27.6
3.493, 25.50, 44.8
3.218, 27.72, 52.8
3.055, 29.24, 62.6
2.816, 31.77, 43.8
2.794, 32.03, 100.0
2.608, 34.38, 24.6
1.961, 46.30, 26.9
1.650, 55.71, 20.5
1.622, 56.77, 39.8

abc: 12.5945 12.5945 3.9215
angles: 90.00 90.00 90.00
Fractional positions:
Dy  0.0000  0.0000  0.0000
Dy  0.5000  0.5000  0.0000
Ta  0.0000  0.5000  0.5000
Ta  0.0797  0.2100  0.5000
Ta  0.2100  0.9203  0.5000
Ta  0.2900  0.4203  0.5000
Ta  0.4203  0.7100  0.5000
Ta  0.5000  0.0000  0.5000
Ta  0.5797  0.2900  0.5000
Ta  0.7100  0.5797  0.5000
Ta  0.7900  0.0797  0.5000
Ta  0.9203  0.7900  0.5000
Ag  0.1627  0.6627  0.0000
Ag  0.3373  0.1627  0.0000
Ag  0.6627  0.8373  0.0000
Ag  0.8373  0.3373  0.0000
O  0.0000  0.5000  0.0000
O  0.0007  0.6590  0.5000
O  0.0576  0.8697  0.5000
O  0.0784  0.1876  0.0000
O  0.1303  0.0576  0.5000
O  0.1590  0.5007  0.5000
O  0.1876  0.9216  0.0000
O  0.2234  0.2766  0.5000
O  0.2766  0.7766  0.5000
O  0.3124  0.4216  0.0000
O  0.3410  0.0007  0.5000
O  0.3697  0.5576  0.5000
O  0.4216  0.6876  0.0000
O  0.4424  0.3697  0.5000
O  0.4993  0.1590  0.5000
O  0.5000  0.0000  0.0000
O  0.5007  0.8410  0.5000
O  0.5576  0.6303  0.5000
O  0.5784  0.3124  0.0000
O  0.6303  0.4424  0.5000
O  0.6590  0.9993  0.5000
O  0.6876  0.5784  0.0000
O  0.7234  0.2234  0.5000
O  0.7766  0.7234  0.5000
O  0.8124  0.0784  0.0000
O  0.8410  0.4993  0.5000
O  0.8697  0.9424  0.5000
O  0.9216  0.8124  0.0000
O  0.9424  0.1303  0.5000
O  0.9993  0.3410  0.5000

***

# 8
The following is a theoretical powder XRD pattern of Dy3AgOs. It was derived from a crystal structure in Alexandria, relaxed with GGA-PBE, using λ = 1.5418 Å (Cu Kα).
Peak positions follow from Bragg's law for the DFT cell and can differ from measured ones.

Top 10 peaks for 2θ = 10–80°, sorted by position:
d/Å, two_theta, I_rel
7.814, 11.32, 23.3
2.861, 31.26, 52.0
2.702, 33.15, 42.7
2.542, 35.32, 100.0
2.483, 36.17, 52.5
2.447, 36.72, 16.3
2.299, 39.18, 35.4
2.214, 40.75, 26.3
2.074, 43.63, 15.8
1.607, 57.33, 32.2

abc: 9.2203 8.4499 5.8569
angles: 77.93 63.66 38.40
Fractional positions:
Dy  0.1954  0.1954  0.8046
Dy  0.2064  0.5763  0.4237
Dy  0.4237  0.7936  0.2064
Dy  0.5763  0.2064  0.7936
Dy  0.7936  0.4237  0.5763
Dy  0.8046  0.8046  0.1954
Ag  0.2090  0.7910  0.7910
Ag  0.7910  0.2090  0.2090
Os  0.2500  0.2500  0.2500
Os  0.7500  0.7500  0.7500